Na3Bi4Sb2: computed X-ray powder pattern (Cu Kα (weighted mean of Kα1 and Kα2)), based on a DFT-relaxed cell (GGA-PBE, Alexandria).

Principal peaks in the range 2θ = 15–90°, in order of falling intensity:
2θ 16.6, I 100
2θ 30.3, I 83
2θ 30.8, I 60
2θ 33.3, I 50
2θ 33.6, I 49
2θ 43.8, I 46
2θ 31.1, I 39
2θ 31.4, I 38
2θ 30.4, I 38
2θ 16.7, I 27
2θ 44.3, I 24
2θ 43.4, I 23

Cell: 5.9006 6.2934 9.1034 Å, 105.16 90.13 117.24°
Fractional coordinates of all 9 atoms:
Na 0.0000 0.0000 0.0000
Na 0.4578 0.9145 0.6796
Na 0.5422 0.0855 0.3204
Bi 0.1488 0.2960 0.6240
Bi 0.3024 0.6076 0.9841
Bi 0.6976 0.3924 0.0159
Bi 0.8512 0.7040 0.3760
Sb 0.2430 0.4847 0.3241
Sb 0.7570 0.5153 0.6759

=====

Na4Bi2Sb: computed X-ray powder pattern (Cu Kα (weighted mean of Kα1 and Kα2)), based on a DFT-relaxed cell (GGA-PBE, Alexandria).

Principal peaks in the range 2θ = 15–90°, in order of falling intensity:
2θ 18.9, I 100
2θ 35.4, I 72
2θ 20.5, I 67
2θ 34.5, I 59
2θ 29.2, I 58
2θ 20.9, I 55
2θ 32.6, I 50
2θ 24.1, I 43
2θ 35.1, I 40
2θ 36.2, I 38
2θ 16.7, I 35
2θ 36.8, I 33

Cell: 6.1120 8.0263 9.8659 Å, 77.75 73.05 67.90°
Fractional coordinates of all 14 atoms:
Na 0.0000 0.0000 0.0000
Na 0.0103 0.5234 0.4804
Na 0.0414 0.0514 0.3727
Na 0.4693 0.9680 0.5987
Na 0.4866 0.5230 0.4965
Na 0.5210 0.0048 0.9854
Na 0.5395 0.5557 0.8834
Na 0.9669 0.4754 0.1079
Bi 0.0039 0.7626 0.7407
Bi 0.1957 0.3193 0.7925
Bi 0.5047 0.2631 0.2405
Bi 0.8122 0.2061 0.6884
Sb 0.3288 0.7033 0.1962
Sb 0.6806 0.8229 0.2851

=====

Na2Sn5Bi2Sb2: computed X-ray powder pattern (Cu Kα (weighted mean of Kα1 and Kα2)), based on a DFT-relaxed cell (GGA-PBE, Alexandria).

Principal peaks in the range 2θ = 15–90°, in order of falling intensity:
2θ 36.4, I 100
2θ 33.8, I 95
2θ 18.6, I 83
2θ 21.6, I 71
2θ 32.4, I 65
2θ 26.1, I 48
2θ 62.2, I 43
2θ 48.5, I 35
2θ 40.4, I 29
2θ 38.8, I 27
2θ 39.6, I 27
2θ 45.7, I 26

Cell: 16.7926 16.7926 16.7926 Å, 161.82 161.82 25.82°
Fractional coordinates of all 11 atoms:
Na 0.2098 0.2098 0.0000
Na 0.7902 0.7902 0.0000
Sn 0.0000 0.0000 0.0000
Sn 0.1376 0.6376 0.5000
Sn 0.3624 0.8624 0.5000
Sn 0.6376 0.1376 0.5000
Sn 0.8624 0.3624 0.5000
Bi 0.3097 0.3097 0.0000
Bi 0.6903 0.6903 0.0000
Sb 0.0914 0.0914 0.0000
Sb 0.9086 0.9086 0.0000